This entry pairs a crystal structure of Ac4Tl2O with its simulated powder X-ray diffraction pattern. Radiation: Cu Kα (λ = 1.5418 Å). Structure: a structure optimized by DFT (GGA-PBE).

Top 6 peaks for 15° ≤ 2θ ≤ 90°, in order of rising 2θ:
2θ (°)  d [Å]  Rel. int.  (hkl)
26.85  3.321  51  2 0 -2
26.97  3.306  99  1 0 2
29.35  3.043  28  2 1 -2
30.38  2.942  100  1 2 -2
36.25  2.478  31  1 0 -4
55.76  1.649  24  2 4 -2

Atomic structure:
```
14
Lattice="7.142 0.000 0.000 0.000 7.602 0.000 -3.474 0.000 9.279" Properties=species:S:1:pos:R:3 pbc="T T T"
Ac -0.804 0.004 2.525
Ac -0.804 3.796 2.525
Ac 2.574 5.701 0.552
Ac 0.831 5.701 6.007
Ac 2.837 1.900 3.272
Ac 1.094 1.900 8.726
Ac 4.471 3.805 6.754
Ac 4.471 7.597 6.754
Tl 1.196 1.900 0.314
Tl 0.069 1.900 5.428
Tl 3.599 5.701 3.851
Tl 2.471 5.701 8.965
O -1.221 5.701 7.377
O 4.888 1.900 1.902
```